Starting from a crystal structure in Alexandria, relaxed with PBE, the powder X-ray diffraction pattern of Tb12Pm5Tm was calculated for Cu Kα, 1.54184 Å.

Atomic structure:
```
Tb12Pm5Tm
1.0
5.9217 -8.6010 0.0000
5.9217 8.6010 0.0000
-0.0009 0.0000 5.7446
Tb Pm Tm
12 5 1
Direct
0.0276 0.6674 0.0002 Tb
0.1673 0.5252 0.4998 Tb
0.2027 0.2027 0.5022 Tb
0.3007 0.3007 0.0022 Tb
0.3326 0.9724 0.9998 Tb
0.4748 0.8327 0.5002 Tb
0.5252 0.1673 0.4998 Tb
0.6674 0.0276 0.0002 Tb
0.6993 0.6993 0.9978 Tb
0.7973 0.7973 0.4978 Tb
0.8327 0.4748 0.5002 Tb
0.9724 0.3326 0.9998 Tb
0.0000 0.0000 0.0000 Pm
0.1378 0.8622 0.5000 Pm
0.3650 0.6350 0.0000 Pm
0.6350 0.3650 0.0000 Pm
0.8622 0.1378 0.5000 Pm
0.5000 0.5000 0.5000 Tm
```

Top 12 peaks for 10° ≤ 2θ ≤ 90°, sorted by position:
2θ 25.6, I = 6; 2θ 31.2, I = 69; 2θ 31.6, I = 100; 2θ 32.0, I = 9; 2θ 44.7, I = 17; 2θ 45.2, I = 7; 2θ 46.0, I = 7; 2θ 52.6, I = 7; 2θ 55.7, I = 29; 2θ 56.6, I = 12; 2θ 62.4, I = 8; 2θ 63.4, I = 9